This entry pairs a crystal structure of TbHoGeS with its calculated XRD peak list. Radiation: Cu Ka. Structure: a crystal structure in Alexandria, relaxed with PBE.
Peak positions follow from Bragg's law for the DFT cell and can differ from measured ones.

Atomic structure:
a = 4.0400 Å, b = 4.0400 Å, c = 19.9060 Å
α = 90.00°, β = 90.00°, γ = 120.00°
Space group R3m (No. 160, hexagonal axes)
Inequivalent atoms, fractional coordinates:
Tb  0.0000  0.0000  0.0000 x3
Ho  0.0000  0.0000  0.5001 x3
Ge  0.0000  0.0000  0.2493 x3
S  0.0000  0.0000  0.7510 x3

Largest 6 diffraction maxima, by angle, 10 to 90 degrees two-theta:
- 27.01°, 3.301 Å, intensity 35, (0 1 2)
- 31.25°, 2.862 Å, intensity 100, (1 0 4)
- 44.69°, 2.028 Å, intensity 37, (0 1 8)
- 44.87°, 2.020 Å, intensity 37, (1 1 0)
- 53.11°, 1.725 Å, intensity 17, (2 0 2)
- 55.70°, 1.650 Å, intensity 19, (0 2 4)

This entry pairs a crystal structure of CsPb2F7 with its calculated XRD peak list. Radiation: Cu Ka. Structure: a crystal structure in Alexandria, relaxed with PBE.
Peak positions follow from Bragg's law for the DFT cell and can differ from measured ones.

Atomic structure:
a = 7.3006 Å, b = 11.9530 Å, c = 4.5358 Å
α = 90.00°, β = 90.00°, γ = 90.00°
Space group Cmmm (No. 65)
Inequivalent atoms, fractional coordinates:
Cs  0.0000  0.0000  0.0000 x2
Pb  0.0000  0.3090  0.5000 x4
F  0.0000  0.3017  0.0000 x4
F  0.0000  0.5000  0.5000 x2
F  0.1868  0.1485  0.5000 x8

Largest 6 diffraction maxima, by angle, 10 to 90 degrees two-theta:
- 24.27°, 3.667 Å, intensity 70, (1 1 1)
- 24.38°, 3.650 Å, intensity 71, (2 0 0)
- 24.64°, 3.613 Å, intensity 76, (0 2 1)
- 25.47°, 3.497 Å, intensity 100, (1 3 0)
- 34.94°, 2.568 Å, intensity 51, (2 2 1)
- 44.61°, 2.031 Å, intensity 51, (1 5 1)

This entry pairs a crystal structure of ScFeAu with its calculated XRD peak list. Radiation: Cu Ka. Structure: a crystal structure in Alexandria, relaxed with PBE.
Peak positions follow from Bragg's law for the DFT cell and can differ from measured ones.

Atomic structure:
a = 3.3767 Å, b = 3.3767 Å, c = 9.0060 Å
α = 90.00°, β = 90.00°, γ = 90.00°
Space group I4mm (No. 107)
Inequivalent atoms, fractional coordinates:
Sc  0.0000  0.0000  0.0000 x2
Fe  0.0000  0.0000  0.3367 x2
Au  0.0000  0.0000  0.6772 x2

Largest 6 diffraction maxima, by angle, 10 to 90 degrees two-theta:
- 19.72°, 4.503 Å, intensity 34, (0 0 2)
- 28.22°, 3.162 Å, intensity 60, (1 0 1)
- 37.67°, 2.388 Å, intensity 60, (1 1 0)
- 40.19°, 2.244 Å, intensity 100, (1 0 3)
- 42.87°, 2.109 Å, intensity 21, (1 1 2)
- 69.70°, 1.349 Å, intensity 38, (2 1 3)

This entry pairs a crystal structure of TcRhBr with its calculated XRD peak list. Radiation: Cu Ka. Structure: a crystal structure in Alexandria, relaxed with PBE.
Peak positions follow from Bragg's law for the DFT cell and can differ from measured ones.

Atomic structure:
a = 2.9867 Å, b = 2.9867 Å, c = 6.3921 Å
α = 90.00°, β = 90.00°, γ = 120.00°
Space group P3m1 (No. 156)
Inequivalent atoms, fractional coordinates:
Tc  0.0000  0.0000  0.0000 x1
Rh  0.3333  0.6667  0.6905 x1
Br  0.6667  0.3333  0.3185 x1

Largest 6 diffraction maxima, by angle, 10 to 90 degrees two-theta:
- 37.51°, 2.398 Å, intensity 100, (1 0 1)
- 42.42°, 2.131 Å, intensity 22, (0 0 3)
- 45.09°, 2.011 Å, intensity 59, (0 1 2)
- 62.16°, 1.493 Å, intensity 22, (1 1 0)
- 69.09°, 1.359 Å, intensity 14, (1 0 4)
- 78.16°, 1.223 Å, intensity 21, (1 1 3)

This entry pairs a crystal structure of Dy5SnBi4 with its calculated XRD peak list. Radiation: Cu Ka. Structure: a crystal structure in Alexandria, relaxed with PBE.
Peak positions follow from Bragg's law for the DFT cell and can differ from measured ones.

Atomic structure:
a = 9.9737 Å, b = 9.9737 Å, c = 6.3069 Å
α = 90.00°, β = 90.00°, γ = 90.00°
Space group I4/m (No. 87)
Inequivalent atoms, fractional coordinates:
Dy  0.0000  0.0000  0.0000 x2
Dy  0.0997  0.7044  0.5000 x8
Sn  0.0000  0.0000  0.5000 x2
Bi  0.0979  0.6988  0.0000 x8

Largest 6 diffraction maxima, by angle, 10 to 90 degrees two-theta:
- 28.30°, 3.154 Å, intensity 100, (3 1 0)
- 40.45°, 2.230 Å, intensity 78, (3 1 2)
- 50.10°, 1.821 Å, intensity 28, (2 4 2)
- 58.53°, 1.577 Å, intensity 13, (0 0 4)
- 66.27°, 1.410 Å, intensity 37, (3 1 4)
- 73.56°, 1.288 Å, intensity 28, (2 4 4)

This entry pairs a crystal structure of Ba3SrNd2Cu6O14 with its calculated XRD peak list. Radiation: Cu Ka. Structure: a crystal structure in Alexandria, relaxed with PBE.
Peak positions follow from Bragg's law for the DFT cell and can differ from measured ones.

Atomic structure:
a = 3.8893 Å, b = 3.9107 Å, c = 23.6933 Å
α = 90.00°, β = 90.00°, γ = 90.00°
Space group Pmm2 (No. 25)
Inequivalent atoms, fractional coordinates:
Ba  0.0000  0.0000  0.0000 x1
Ba  0.0000  0.0000  0.1807 x1
Ba  0.0000  0.0000  0.5044 x1
Sr  0.0000  0.0000  0.6816 x1
Nd  0.0000  0.0000  0.3426 x1
Nd  0.0000  0.0000  0.8383 x1
Cu  0.5000  0.5000  0.0903 x1
Cu  0.5000  0.5000  0.2654 x1
Cu  0.5000  0.5000  0.4198 x1
Cu  0.5000  0.5000  0.5944 x1
Cu  0.5000  0.5000  0.7614 x1
Cu  0.5000  0.5000  0.9151 x1
O  0.0000  0.5000  0.0903 x1
O  0.0000  0.5000  0.2789 x1
O  0.0000  0.5000  0.4076 x1
O  0.0000  0.5000  0.7730 x1
O  0.0000  0.5000  0.9018 x1
O  0.5000  0.0000  0.2774 x1
O  0.5000  0.0000  0.4070 x1
O  0.5000  0.0000  0.5998 x1
O  0.5000  0.0000  0.7738 x1
O  0.5000  0.0000  0.9034 x1
O  0.5000  0.5000  0.0109 x1
O  0.5000  0.5000  0.1697 x1
O  0.5000  0.5000  0.5154 x1
O  0.5000  0.5000  0.6730 x1

Largest 6 diffraction maxima, by angle, 10 to 90 degrees two-theta:
- 32.26°, 2.775 Å, intensity 100, (1 0 6)
- 32.47°, 2.758 Å, intensity 48, (1 1 0)
- 46.44°, 1.955 Å, intensity 14, (0 2 0)
- 57.40°, 1.605 Å, intensity 19, (1 1 12)
- 57.70°, 1.598 Å, intensity 19, (1 2 6)
- 57.88°, 1.593 Å, intensity 19, (2 1 6)

Please write out number 1 again, unchanged.
This entry pairs a crystal structure of TbHoGeS with its calculated XRD peak list. Radiation: Cu Ka. Structure: a crystal structure in Alexandria, relaxed with PBE.
Peak positions follow from Bragg's law for the DFT cell and can differ from measured ones.

Atomic structure:
a = 4.0400 Å, b = 4.0400 Å, c = 19.9060 Å
α = 90.00°, β = 90.00°, γ = 120.00°
Space group R3m (No. 160, hexagonal axes)
Inequivalent atoms, fractional coordinates:
Tb  0.0000  0.0000  0.0000 x3
Ho  0.0000  0.0000  0.5001 x3
Ge  0.0000  0.0000  0.2493 x3
S  0.0000  0.0000  0.7510 x3

Largest 6 diffraction maxima, by angle, 10 to 90 degrees two-theta:
- 27.01°, 3.301 Å, intensity 35, (0 1 2)
- 31.25°, 2.862 Å, intensity 100, (1 0 4)
- 44.69°, 2.028 Å, intensity 37, (0 1 8)
- 44.87°, 2.020 Å, intensity 37, (1 1 0)
- 53.11°, 1.725 Å, intensity 17, (2 0 2)
- 55.70°, 1.650 Å, intensity 19, (0 2 4)